Entry 1:
For Tb7Pt3, a GGA-PBE-relaxed structure gives the simulated powder diffraction line list in this record (copper Kα).

Structure:
Unit cell a=9.9206 b=9.9206 c=6.3063 alpha=90.00 beta=90.00 gamma=120.00
Sites, in units of the cell vectors:
Tb (0.0782, 0.5391, 0.0000)
Tb (0.1264, 0.2528, 0.3076)
Tb (0.1264, 0.8736, 0.3076)
Tb (0.2528, 0.1264, 0.8076)
Tb (0.3333, 0.6667, 0.5045)
Tb (0.4609, 0.5391, 0.0000)
Tb (0.4609, 0.9218, 0.0000)
Tb (0.5391, 0.0782, 0.5000)
Tb (0.5391, 0.4609, 0.5000)
Tb (0.6667, 0.3333, 0.0045)
Tb (0.7472, 0.8736, 0.3076)
Tb (0.8736, 0.1264, 0.8076)
Tb (0.8736, 0.7472, 0.8076)
Tb (0.9218, 0.4609, 0.5000)
Pt (0.1899, 0.3798, 0.7402)
Pt (0.1899, 0.8101, 0.7402)
Pt (0.3798, 0.1899, 0.2402)
Pt (0.6202, 0.8101, 0.7402)
Pt (0.8101, 0.1899, 0.2402)
Pt (0.8101, 0.6202, 0.2402)

The 12 most intense peaks (2θ from 10° to 90°), by intensity:
2θ (°), I (rel.)
31.0, 100
34.4, 80
35.3, 69
36.2, 64
30.2, 43
39.8, 29
54.1, 29
31.2, 26
55.4, 24
17.4, 23
48.4, 22
70.0, 21

Entry 2:
For Tb2TePt, a GGA-PBE-relaxed structure gives the simulated powder diffraction line list in this record (copper Kα).

Structure:
Unit cell a=7.6919 b=7.6919 c=7.6919 alpha=31.65 beta=31.65 gamma=31.65
Sites, in units of the cell vectors:
Tb (0.0000, 0.0000, 0.0000)
Tb (0.1949, 0.1949, 0.1949)
Te (0.4305, 0.4305, 0.4305)
Pt (0.5970, 0.5970, 0.5970)

The 12 most intense peaks (2θ from 10° to 90°), by intensity:
2θ (°), I (rel.)
32.0, 100
43.1, 53
25.8, 35
38.0, 30
54.7, 22
12.1, 21
48.5, 20
72.1, 19
68.1, 15
79.1, 9
29.5, 9
58.8, 8

Question: Number 2 is which compound?
Answer: Tb2TePt